(1)
# K3P2AuSe8
Simulated XRD peak list, Cu Kα, 1.54184 Å. Input: a cell relaxed with GGA-PBE.

Atomic structure:
Lattice parameters (Å, degrees): 7.3135 7.3135 19.0532 93.13 93.13 120.97
Fractional coordinates of all 28 atoms:
K 0.0685 0.9315 0.5000
K 0.1491 0.6000 0.7084
K 0.2515 0.4618 0.3521
K 0.4618 0.2515 0.8521
K 0.6000 0.1491 0.2084
K 0.9315 0.0685 0.0000
P 0.2531 0.7896 0.9819
P 0.7896 0.2531 0.4819
P 0.8731 0.9995 0.7283
P 0.9995 0.8731 0.2283
Au 0.5208 0.6205 0.1061
Au 0.6205 0.5208 0.6061
Se 0.0630 0.7465 0.8831
Se 0.0788 0.1715 0.1845
Se 0.1118 0.6732 0.1654
Se 0.1196 0.4868 0.5228
Se 0.1715 0.0788 0.6845
Se 0.1971 0.9082 0.3242
Se 0.3965 0.5773 0.9811
Se 0.4868 0.1196 0.0228
Se 0.5773 0.3965 0.4811
Se 0.6229 0.9594 0.5468
Se 0.6404 0.6471 0.2310
Se 0.6471 0.6404 0.7310
Se 0.6732 0.1118 0.6654
Se 0.7465 0.0630 0.3831
Se 0.9082 0.1971 0.8242
Se 0.9594 0.6229 0.0468

Principal peaks in the range 10° ≤ 2θ ≤ 90°, sorted by position:
2θ = 14.51°, d = 6.106 Å, rel. 258; 2θ = 16.24°, d = 5.459 Å, rel. 488; 2θ = 16.79°, d = 5.282 Å, rel. 212; 2θ = 28.47°, d = 3.135 Å, rel. 1000; 2θ = 28.60°, d = 3.121 Å, rel. 411; 2θ = 29.25°, d = 3.053 Å, rel. 467; 2θ = 29.45°, d = 3.033 Å, rel. 215; 2θ = 29.62°, d = 3.016 Å, rel. 221; 2θ = 30.71°, d = 2.912 Å, rel. 253; 2θ = 33.02°, d = 2.713 Å, rel. 298

(2)
# Hf4CS2N
Simulated XRD peak list, Cu Kα, 1.54184 Å. Input: a cell relaxed with GGA-PBE.

Atomic structure:
Lattice parameters (Å, degrees): 3.3623 3.3623 11.9576 90.00 90.00 120.00
Fractional coordinates of all 8 atoms:
Hf 0.3333 0.6667 0.1005
Hf 0.3333 0.6667 0.4024
Hf 0.6667 0.3333 0.5976
Hf 0.6667 0.3333 0.8995
C 0.0000 0.0000 0.0000
S 0.3333 0.6667 0.7463
S 0.6667 0.3333 0.2537
N 0.0000 0.0000 0.5000

Principal peaks in the range 10° ≤ 2θ ≤ 90°, sorted by position:
2θ = 14.82°, d = 5.979 Å, rel. 135; 2θ = 29.89°, d = 2.989 Å, rel. 170; 2θ = 30.70°, d = 2.912 Å, rel. 286; 2θ = 31.62°, d = 2.829 Å, rel. 360; 2θ = 38.28°, d = 2.351 Å, rel. 1000; 2θ = 54.59°, d = 1.681 Å, rel. 273; 2θ = 63.10°, d = 1.473 Å, rel. 155; 2θ = 63.49°, d = 1.465 Å, rel. 131; 2θ = 68.63°, d = 1.368 Å, rel. 180; 2θ = 73.73°, d = 1.285 Å, rel. 143

(3)
# Nd4Al2O9
Simulated XRD peak list, Cu Kα, 1.54184 Å. Input: a cell relaxed with GGA-PBE.

Atomic structure:
Lattice parameters (Å, degrees): 7.7293 10.8624 11.3146 90.00 109.39 90.00
Fractional coordinates of all 60 atoms:
Nd 0.0249 0.1014 0.2888
Nd 0.0249 0.3986 0.7888
Nd 0.1672 0.6246 0.5716
Nd 0.1672 0.8754 0.0716
Nd 0.3354 0.1217 0.9119
Nd 0.3354 0.3783 0.4119
Nd 0.4723 0.5846 0.1866
Nd 0.4723 0.9154 0.6866
Nd 0.5277 0.0846 0.3134
Nd 0.5277 0.4154 0.8134
Nd 0.6646 0.6217 0.5881
Nd 0.6646 0.8783 0.0881
Nd 0.8328 0.1246 0.9284
Nd 0.8328 0.3754 0.4284
Nd 0.9751 0.6014 0.2112
Nd 0.9751 0.8986 0.7112
Al 0.1527 0.1895 0.6185
Al 0.1527 0.3105 0.1185
Al 0.2774 0.6920 0.8711
Al 0.2774 0.8080 0.3711
Al 0.7226 0.1920 0.6289
Al 0.7226 0.3080 0.1289
Al 0.8473 0.6895 0.8815
Al 0.8473 0.8105 0.3815
O 0.0656 0.7416 0.8830
O 0.0656 0.7584 0.3830
O 0.0669 0.0088 0.8963
O 0.0669 0.4912 0.3963
O 0.1417 0.2291 0.4665
O 0.1417 0.2709 0.9665
O 0.2005 0.0367 0.6720
O 0.2005 0.4633 0.1720
O 0.2685 0.7229 0.2357
O 0.2685 0.7771 0.7357
O 0.2827 0.5356 0.8356
O 0.2827 0.9644 0.3356
O 0.2843 0.2211 0.2468
O 0.2843 0.2789 0.7468
O 0.4218 0.7349 0.0196
O 0.4218 0.7651 0.5196
O 0.4235 0.0045 0.1070
O 0.4235 0.4955 0.6070
O 0.5765 0.5045 0.3930
O 0.5765 0.9955 0.8930
O 0.5782 0.2349 0.4804
O 0.5782 0.2651 0.9804
O 0.7157 0.7211 0.2532
O 0.7157 0.7789 0.7532
O 0.7173 0.0356 0.6644
O 0.7173 0.4644 0.1644
O 0.7315 0.2229 0.2643
O 0.7315 0.2771 0.7643
O 0.7995 0.5367 0.8280
O 0.7995 0.9633 0.3280
O 0.8583 0.7291 0.0335
O 0.8583 0.7709 0.5335
O 0.9331 0.5088 0.6037
O 0.9331 0.9912 0.1037
O 0.9344 0.2416 0.6170
O 0.9344 0.2584 0.1170

Principal peaks in the range 10° ≤ 2θ ≤ 90°, sorted by position:
2θ = 11.62°, d = 7.613 Å, rel. 204; 2θ = 18.52°, d = 4.790 Å, rel. 312; 2θ = 26.36°, d = 3.381 Å, rel. 193; 2θ = 28.34°, d = 3.149 Å, rel. 1000; 2θ = 29.55°, d = 3.023 Å, rel. 196; 2θ = 29.83°, d = 2.996 Å, rel. 447; 2θ = 30.03°, d = 2.976 Å, rel. 540; 2θ = 34.08°, d = 2.631 Å, rel. 185; 2θ = 43.19°, d = 2.095 Å, rel. 162; 2θ = 47.03°, d = 1.932 Å, rel. 185

(4)
# ThCo4B4
Simulated XRD peak list, Cu Kα, 1.54184 Å. Input: a cell relaxed with GGA-PBE.

Atomic structure:
Lattice parameters (Å, degrees): 5.0821 5.0821 7.1126 90.00 90.00 90.00
Fractional coordinates of all 18 atoms:
Th 0.2500 0.7500 0.2500
Th 0.7500 0.2500 0.7500
Co 0.0024 0.7500 0.6160
Co 0.2500 0.5024 0.8840
Co 0.2500 0.9976 0.8840
Co 0.4976 0.7500 0.6160
Co 0.5024 0.2500 0.3840
Co 0.7500 0.0024 0.1160
Co 0.7500 0.4976 0.1160
Co 0.9976 0.2500 0.3840
B 0.0775 0.2500 0.0884
B 0.2500 0.0775 0.5884
B 0.2500 0.4225 0.5884
B 0.4225 0.2500 0.0884
B 0.5775 0.7500 0.9116
B 0.7500 0.5775 0.4116
B 0.7500 0.9225 0.4116
B 0.9225 0.7500 0.9116

Principal peaks in the range 10° ≤ 2θ ≤ 90°, sorted by position:
2θ = 21.49°, d = 4.135 Å, rel. 473; 2θ = 24.78°, d = 3.594 Å, rel. 434; 2θ = 35.32°, d = 2.541 Å, rel. 214; 2θ = 35.51°, d = 2.528 Å, rel. 419; 2θ = 37.59°, d = 2.393 Å, rel. 185; 2θ = 41.72°, d = 2.165 Å, rel. 1000; 2θ = 42.05°, d = 2.149 Å, rel. 557; 2θ = 43.79°, d = 2.067 Å, rel. 219; 2θ = 67.78°, d = 1.383 Å, rel. 227; 2θ = 75.17°, d = 1.264 Å, rel. 191

(5)
# SrHf15O31
Simulated XRD peak list, Cu Kα, 1.54184 Å. Input: a cell relaxed with GGA-PBE.

Atomic structure:
Lattice parameters (Å, degrees): 7.2655 7.2663 10.1859 89.96 89.87 87.34
Fractional coordinates of all 47 atoms:
Sr 0.0000 0.0000 0.0000
Hf 0.2245 0.2913 0.2477
Hf 0.2279 0.2874 0.7498
Hf 0.2533 0.7558 0.7325
Hf 0.2537 0.7706 0.2584
Hf 0.4403 0.5142 0.0050
Hf 0.4480 0.4980 0.4980
Hf 0.4686 0.9894 0.5039
Hf 0.4984 0.0036 0.0106
Hf 0.7297 0.7913 0.7559
Hf 0.7356 0.7890 0.2576
Hf 0.7465 0.2710 0.7526
Hf 0.7509 0.2703 0.2506
Hf 0.9463 0.0042 0.5022
Hf 0.9580 0.4842 0.5026
Hf 0.9579 0.4901 0.0025
O 0.0002 0.2454 0.3780
O 0.1924 0.5370 0.1247
O 0.1926 0.5245 0.6219
O 0.2033 0.9121 0.4430
O 0.2105 0.5363 0.3753
O 0.2143 0.5529 0.8745
O 0.2990 0.0337 0.1693
O 0.3116 0.0325 0.6866
O 0.3508 0.2242 0.9338
O 0.3779 0.2353 0.4280
O 0.4598 0.7855 0.8801
O 0.4894 0.7408 0.1250
O 0.4901 0.7289 0.6248
O 0.4912 0.3483 0.1752
O 0.4916 0.3542 0.6782
O 0.5013 0.7519 0.3790
O 0.6798 0.4223 0.9275
O 0.6959 0.0235 0.6277
O 0.6979 0.4186 0.4282
O 0.7010 0.0481 0.8732
O 0.7034 0.0276 0.1373
O 0.7085 0.0436 0.3814
O 0.8013 0.5390 0.1800
O 0.8110 0.5381 0.6783
O 0.8638 0.7268 0.9270
O 0.8719 0.7390 0.4452
O 0.9838 0.2333 0.6253
O 0.9857 0.2582 0.1339
O 0.9938 0.2814 0.8670
O 0.9961 0.8618 0.6947
O 0.9980 0.8452 0.2139

Principal peaks in the range 10° ≤ 2θ ≤ 90°, sorted by position:
2θ = 30.24°, d = 2.955 Å, rel. 1000; 2θ = 34.12°, d = 2.628 Å, rel. 134; 2θ = 35.24°, d = 2.546 Å, rel. 147; 2θ = 35.79°, d = 2.509 Å, rel. 118; 2θ = 49.92°, d = 1.827 Å, rel. 69; 2θ = 50.28°, d = 1.815 Å, rel. 125; 2θ = 51.11°, d = 1.787 Å, rel. 140; 2θ = 60.16°, d = 1.538 Å, rel. 112; 2θ = 60.91°, d = 1.521 Å, rel. 130; 2θ = 62.87°, d = 1.478 Å, rel. 69

(6)
# HoIn3C3
Simulated XRD peak list, Cu Kα, 1.54184 Å. Input: a cell relaxed with GGA-PBE.

Atomic structure:
Lattice parameters (Å, degrees): 3.7323 3.7323 19.0590 90.00 90.00 120.00
Fractional coordinates of all 14 atoms:
Ho 0.0000 0.0000 0.0000
Ho 0.0000 0.0000 0.5000
In 0.3333 0.6667 0.1237
In 0.3333 0.6667 0.3763
In 0.3333 0.6667 0.7500
In 0.6667 0.3333 0.2500
In 0.6667 0.3333 0.6237
In 0.6667 0.3333 0.8763
C 0.3333 0.6667 0.2500
C 0.3333 0.6667 0.5754
C 0.3333 0.6667 0.9246
C 0.6667 0.3333 0.0754
C 0.6667 0.3333 0.4246
C 0.6667 0.3333 0.7500

Principal peaks in the range 10° ≤ 2θ ≤ 90°, sorted by position:
2θ = 29.17°, d = 3.061 Å, rel. 1000; 2θ = 31.04°, d = 2.881 Å, rel. 865; 2θ = 33.50°, d = 2.675 Å, rel. 702; 2θ = 36.45°, d = 2.465 Å, rel. 682; 2θ = 37.76°, d = 2.382 Å, rel. 452; 2θ = 39.79°, d = 2.266 Å, rel. 533; 2θ = 48.80°, d = 1.866 Å, rel. 732; 2θ = 56.01°, d = 1.642 Å, rel. 156; 2θ = 60.64°, d = 1.527 Å, rel. 174; 2θ = 63.30°, d = 1.469 Å, rel. 582